# 1
Simulated powder diffraction line list
Compound: SrLa6In5
Radiation: Cu Kα (λ = 1.5418 Å)
Structure: a cell relaxed with PBE
Kinematic intensities with the Lorentz-polarization factor, no thermal factor.

```
SrLa6In5
1.0
-2.855 3.922 8.654
2.855 -3.922 8.654
2.855 3.922 -8.654
Sr La In
1 6 5
Direct
0.000 0.000 0.000
0.081 0.822 0.259
0.277 0.500 0.777
0.436 0.178 0.259
0.564 0.822 0.741
0.723 0.500 0.223
0.919 0.178 0.741
0.149 0.649 0.500
0.332 0.332 0.000
0.500 0.000 0.500
0.668 0.668 0.000
0.851 0.351 0.500
```

Principal peaks in the range 10° ≤ 2θ ≤ 90°, in order of rising 2θ:
31.00 deg, intensity 24.6; 31.33 deg, intensity 27.4; 31.73 deg, intensity 100.0; 44.65 deg, intensity 17.8; 46.29 deg, intensity 8.5; 55.60 deg, intensity 15.0; 56.01 deg, intensity 19.5; 56.96 deg, intensity 8.9; 66.28 deg, intensity 9.7; 74.12 deg, intensity 10.2

# 2
Simulated powder diffraction line list
Compound: SrLaIn2
Radiation: Cu Kα (λ = 1.5418 Å)
Structure: a cell relaxed with PBE
Kinematic intensities with the Lorentz-polarization factor, no thermal factor.

```
SrLaIn2
1.0
-2.011 2.734 5.839
2.011 -2.734 5.839
2.011 2.734 -5.839
Sr La In
1 1 2
Direct
0.000 0.000 0.000
0.719 0.219 0.500
0.264 0.764 0.500
0.457 0.457 0.000
```

Principal peaks in the range 10° ≤ 2θ ≤ 90°, in order of rising 2θ:
30.62 deg, intensity 20.6; 31.58 deg, intensity 100.0; 32.76 deg, intensity 24.7; 45.08 deg, intensity 10.1; 45.45 deg, intensity 13.7; 55.04 deg, intensity 9.2; 56.83 deg, intensity 10.0; 57.75 deg, intensity 22.4; 65.94 deg, intensity 8.8; 74.68 deg, intensity 8.1

# 3
Simulated powder diffraction line list
Compound: La12TbIn3
Radiation: Cu Kα (λ = 1.5418 Å)
Structure: a cell relaxed with PBE
Kinematic intensities with the Lorentz-polarization factor, no thermal factor.

```
La12TbIn3
1.0
5.086 0.000 0.000
0.000 5.086 0.000
0.000 0.000 20.566
La Tb In
12 1 3
Direct
0.000 0.000 0.000
0.000 0.000 0.246
0.000 0.000 0.500
0.000 0.000 0.754
0.000 0.500 0.123
0.000 0.500 0.370
0.000 0.500 0.630
0.000 0.500 0.877
0.500 0.000 0.123
0.500 0.000 0.370
0.500 0.000 0.630
0.500 0.000 0.877
0.500 0.500 0.500
0.500 0.500 0.000
0.500 0.500 0.246
0.500 0.500 0.754
```

Principal peaks in the range 10° ≤ 2θ ≤ 90°, in order of rising 2θ:
30.33 deg, intensity 100.0; 34.90 deg, intensity 16.8; 35.29 deg, intensity 33.5; 50.48 deg, intensity 23.4; 50.77 deg, intensity 11.8; 59.77 deg, intensity 13.5; 60.30 deg, intensity 28.0; 63.09 deg, intensity 11.9; 82.19 deg, intensity 10.9; 82.65 deg, intensity 5.7

# 4
Simulated powder diffraction line list
Compound: La6Tb2In
Radiation: Cu Kα (λ = 1.5418 Å)
Structure: a cell relaxed with PBE
Kinematic intensities with the Lorentz-polarization factor, no thermal factor.

```
La6Tb2In
1.0
3.176 -9.069 0.000
3.176 9.069 0.000
-2.764 0.000 5.337
La Tb In
6 2 1
Direct
0.030 0.346 0.342
0.198 0.198 0.848
0.346 0.030 0.342
0.654 0.970 0.658
0.802 0.802 0.152
0.970 0.654 0.658
0.323 0.677 0.000
0.677 0.323 0.000
0.500 0.500 0.500
```

Principal peaks in the range 10° ≤ 2θ ≤ 90°, in order of rising 2θ:
29.55 deg, intensity 57.7; 29.89 deg, intensity 51.1; 30.15 deg, intensity 52.1; 31.56 deg, intensity 100.0; 33.30 deg, intensity 13.3; 34.55 deg, intensity 35.6; 38.92 deg, intensity 22.3; 46.27 deg, intensity 16.4; 53.71 deg, intensity 18.7; 54.37 deg, intensity 21.1

# 5
Simulated powder diffraction line list
Compound: La4Tb5In
Radiation: Cu Kα (λ = 1.5418 Å)
Structure: a cell relaxed with PBE
Kinematic intensities with the Lorentz-polarization factor, no thermal factor.

```
La4Tb5In
1.0
3.673 0.000 0.000
0.000 4.906 0.000
0.000 0.000 18.056
La Tb In
4 5 1
Direct
0.000 0.000 0.104
0.000 0.000 0.303
0.000 0.000 0.697
0.000 0.000 0.896
0.500 0.500 0.000
0.500 0.500 0.210
0.500 0.500 0.412
0.500 0.500 0.588
0.500 0.500 0.790
0.000 0.000 0.500
```

Principal peaks in the range 10° ≤ 2θ ≤ 90°, in order of rising 2θ:
30.40 deg, intensity 100.0; 30.74 deg, intensity 91.8; 34.84 deg, intensity 66.0; 36.63 deg, intensity 30.4; 49.65 deg, intensity 12.8; 51.45 deg, intensity 43.6; 59.54 deg, intensity 29.1; 60.14 deg, intensity 23.0; 62.13 deg, intensity 13.1; 63.26 deg, intensity 12.3

# 6
Simulated powder diffraction line list
Compound: La2Tb6In
Radiation: Cu Kα (λ = 1.5418 Å)
Structure: a cell relaxed with PBE
Kinematic intensities with the Lorentz-polarization factor, no thermal factor.

```
La2Tb6In
1.0
9.853 0.000 0.000
0.000 10.428 0.000
0.000 0.000 5.605
La Tb In
4 12 2
Direct
0.190 0.248 0.000
0.310 0.748 0.500
0.690 0.252 0.500
0.810 0.752 0.000
0.017 0.180 0.500
0.140 0.601 0.000
0.180 0.924 0.000
0.320 0.424 0.500
0.360 0.101 0.500
0.483 0.680 0.000
0.517 0.320 0.000
0.640 0.899 0.500
0.680 0.576 0.500
0.820 0.076 0.000
0.860 0.399 0.000
0.983 0.820 0.500
0.000 0.500 0.500
0.500 0.000 0.000
```

Principal peaks in the range 10° ≤ 2θ ≤ 90°, in order of rising 2θ:
27.20 deg, intensity 8.2; 30.25 deg, intensity 16.5; 31.55 deg, intensity 100.0; 31.62 deg, intensity 54.6; 31.93 deg, intensity 41.3; 35.43 deg, intensity 10.0; 37.68 deg, intensity 8.3; 45.47 deg, intensity 19.0; 56.15 deg, intensity 24.3; 56.69 deg, intensity 26.4

# 7
Simulated powder diffraction line list
Compound: LaTb3In3
Radiation: Cu Kα (λ = 1.5418 Å)
Structure: a cell relaxed with PBE
Kinematic intensities with the Lorentz-polarization factor, no thermal factor.

```
LaTb3In3
1.0
9.433 0.000 0.000
0.000 9.433 0.000
0.000 0.000 9.433
La Tb In
4 12 12
Direct
0.046 0.454 0.546
0.454 0.546 0.046
0.546 0.046 0.454
0.954 0.954 0.954
0.120 0.620 0.880
0.167 0.167 0.167
0.202 0.798 0.298
0.298 0.202 0.798
0.333 0.833 0.667
0.380 0.380 0.380
0.620 0.880 0.120
0.667 0.333 0.833
0.702 0.702 0.702
0.798 0.298 0.202
0.833 0.667 0.333
0.880 0.120 0.620
0.006 0.805 0.598
0.098 0.494 0.195
0.195 0.098 0.494
0.305 0.902 0.994
0.402 0.506 0.695
0.494 0.195 0.098
0.506 0.695 0.402
0.598 0.006 0.805
0.695 0.402 0.506
0.805 0.598 0.006
0.902 0.994 0.305
0.994 0.305 0.902
```

Principal peaks in the range 10° ≤ 2θ ≤ 90°, in order of rising 2θ:
26.73 deg, intensity 14.8; 29.95 deg, intensity 100.0; 31.45 deg, intensity 36.7; 34.27 deg, intensity 44.9; 35.61 deg, intensity 95.4; 49.25 deg, intensity 18.2; 52.22 deg, intensity 15.8; 60.50 deg, intensity 18.3; 63.11 deg, intensity 25.8; 63.96 deg, intensity 14.7

# 8
Simulated powder diffraction line list
Compound: La2Tb3In2
Radiation: Cu Kα (λ = 1.5418 Å)
Structure: a cell relaxed with PBE
Kinematic intensities with the Lorentz-polarization factor, no thermal factor.

```
La2Tb3In2
1.0
5.631 -2.312 0.000
5.631 2.312 0.000
-0.771 0.000 8.075
La Tb In
2 3 2
Direct
0.135 0.135 0.430
0.865 0.865 0.570
0.000 0.000 0.000
0.272 0.272 0.854
0.728 0.728 0.146
0.424 0.424 0.264
0.576 0.576 0.736
```

Principal peaks in the range 10° ≤ 2θ ≤ 90°, in order of rising 2θ:
31.01 deg, intensity 100.0; 31.95 deg, intensity 93.0; 34.87 deg, intensity 35.1; 35.60 deg, intensity 34.2; 38.96 deg, intensity 28.1; 53.27 deg, intensity 21.4; 53.80 deg, intensity 20.8; 59.57 deg, intensity 13.4; 60.55 deg, intensity 13.6; 62.21 deg, intensity 13.3